No. 1
Computed PXRD pattern of NaGeSbO6 for Cu Kα (weighted mean of Kα1 and Kα2), from DFT lattice parameters and positions (PBE).
Lines closer than 0.1° are merged.

Crystal structure
```
data_NaGeSbO6
_chemical_formula_sum 'Na2 Ge2 Sb2 O12'
_symmetry_space_group_name_H-M 'P -3 1 c'
_symmetry_Int_Tables_number 163
_symmetry_space_group_name_Hall '-P 3 2c'
_cell_length_a 5.2137
_cell_length_b 5.2137
_cell_length_c 10.1474
_cell_angle_alpha 90.00
_cell_angle_beta 90.00
_cell_angle_gamma 120.00
loop_
_atom_site_label
_atom_site_type_symbol
_atom_site_fract_x
_atom_site_fract_y
_atom_site_fract_z
Na1 Na 0.0000 0.0000 0.0000
Ge1 Ge 0.3333 0.6667 0.2500
Sb1 Sb 0.3333 0.6667 0.7500
O1 O 0.0144 0.3693 0.1463
```

Principal peaks in the range 2θ = 5–70°, low angle first:
- 17.5 deg, I 100.0, hkl 0 0 2
- 19.7 deg, I 40.1, hkl 1 0 0
- 21.5 deg, I 11.1, hkl 1 0 1
- 26.4 deg, I 86.7, hkl 1 0 2
- 34.4 deg, I 40.8, hkl 1 1 0
- 38.8 deg, I 61.8, hkl 1 1 2
- 43.9 deg, I 18.9, hkl 2 0 2
- 50.2 deg, I 62.2, hkl 1 1 4
- 56.9 deg, I 18.9, hkl 2 1 2
- 61.6 deg, I 20.7, hkl 3 0 0
- 64.6 deg, I 15.7, hkl 3 0 2
- 65.8 deg, I 16.9, hkl 2 -1 6


No. 2
Computed PXRD pattern of Cr3Cd5 for Cu Kα (weighted mean of Kα1 and Kα2), from DFT lattice parameters and positions (PBE).
Lines closer than 0.1° are merged.

Crystal structure
```
data_Cr3Cd5
_chemical_formula_sum 'Cr6 Cd10'
_symmetry_space_group_name_H-M 'P 63/m c m'
_symmetry_Int_Tables_number 193
_symmetry_space_group_name_Hall '-P 6c 2'
_cell_length_a 8.3345
_cell_length_b 8.3345
_cell_length_c 5.4950
_cell_angle_alpha 90.00
_cell_angle_beta 90.00
_cell_angle_gamma 120.00
loop_
_atom_site_label
_atom_site_type_symbol
_atom_site_fract_x
_atom_site_fract_y
_atom_site_fract_z
Cr1 Cr 0.0000 0.3977 0.2500
Cd1 Cd 0.0000 0.2378 0.7500
Cd2 Cd 0.3333 0.6667 0.0000
```

Principal peaks in the range 2θ = 5–70°, low angle first:
- 24.7 deg, I 14.4, hkl 2 0 0
- 26.9 deg, I 10.2, hkl 1 1 1
- 32.8 deg, I 45.2, hkl 2 1 0
- 34.9 deg, I 27.1, hkl 1 0 2
- 36.8 deg, I 100.0, hkl 2 1 1
- 37.4 deg, I 35.7, hkl 3 0 0
- 39.3 deg, I 66.2, hkl 1 1 2
- 55.3 deg, I 19.5, hkl 2 2 2
- 58.2 deg, I 10.5, hkl 3 2 1
- 58.6 deg, I 15.9, hkl 4 1 0
- 60.9 deg, I 21.1, hkl 2 1 3
- 61.5 deg, I 18.2, hkl 4 0 2


No. 3
Computed PXRD pattern of BaZn2GaPd for Cu Kα (weighted mean of Kα1 and Kα2), from DFT lattice parameters and positions (PBE).
Lines closer than 0.1° are merged.

Crystal structure
```
data_BaZn2GaPd
_chemical_formula_sum 'Ba2 Zn4 Ga2 Pd2'
_symmetry_space_group_name_H-M 'I m m 2'
_symmetry_Int_Tables_number 44
_cell_length_a 4.5312
_cell_length_b 4.5961
_cell_length_c 10.7375
_cell_angle_alpha 90.00
_cell_angle_beta 90.00
_cell_angle_gamma 90.00
loop_
_symmetry_equiv_pos_as_xyz
'x,y,z'
'-x,-y,z'
'-x,y,z'
'x,-y,z'
'x+1/2,y+1/2,z+1/2'
'-x+1/2,-y+1/2,z+1/2'
'-x+1/2,y+1/2,z+1/2'
'x+1/2,-y+1/2,z+1/2'
loop_
_atom_site_label
_atom_site_type_symbol
_atom_site_fract_x
_atom_site_fract_y
_atom_site_fract_z
Ba1 Ba 0.0000 0.0000 0.0000
Zn1 Zn 0.0000 0.0000 0.6324
Zn2 Zn 0.0000 0.5000 0.2503
Ga1 Ga 0.0000 0.0000 0.3653
Pd1 Pd 0.0000 0.5000 0.7523
```

Principal peaks in the range 2θ = 5–70°, low angle first:
- 31.7 deg, I 39.7, hkl 0 1 3
- 31.9 deg, I 36.5, hkl 1 0 3
- 32.4 deg, I 100.0, hkl 1 1 2
- 39.2 deg, I 35.1, hkl 0 2 0
- 39.8 deg, I 33.6, hkl 2 0 0
- 43.9 deg, I 17.6, hkl 1 1 4
- 51.4 deg, I 18.6, hkl 1 2 3
- 51.7 deg, I 19.5, hkl 2 1 3
- 57.1 deg, I 22.7, hkl 2 2 0
- 59.0 deg, I 25.2, hkl 1 1 6
- 66.8 deg, I 11.9, hkl 1 3 2
- 67.6 deg, I 11.5, hkl 3 1 2